(1)
The following is a calculated XRD peak list of Pm3Pr4Pd4. It was derived from a crystal structure in Alexandria, relaxed with PBE, using CuKα.
Lines closer than 0.1° are merged.

Principal peaks in the range 15° ≤ 2θ ≤ 90°, low angle first:
2θ/deg  intensity
29.94  100
30.14  26
31.03  43
33.50  14
33.94  25
36.67  42
40.90  15
41.06  28
48.17  14
61.92  13

Cell and atoms:
a = 9.2405 Å, b = 9.2405 Å, c = 9.2405 Å
α = 149.24°, β = 130.47°, γ = 59.44°
Atoms (fractional coordinates):
1 Pm 0.0000 0.0000 0.0000
2 Pm 0.4015 0.9015 0.5000
3 Pm 0.5985 0.0985 0.5000
4 Pr 0.0521 0.3309 0.7212
5 Pr 0.3903 0.6691 0.7212
6 Pr 0.6097 0.3309 0.2788
7 Pr 0.9479 0.6691 0.2788
8 Pd 0.2003 0.2003 0.0000
9 Pd 0.3196 0.5000 0.8196
10 Pd 0.6804 0.5000 0.1804
11 Pd 0.7997 0.7997 0.0000


(2)
The following is a calculated XRD peak list of Pm2Pr5Pd5. It was derived from a crystal structure in Alexandria, relaxed with PBE, using CuKα.
Lines closer than 0.1° are merged.

Principal peaks in the range 15° ≤ 2θ ≤ 90°, low angle first:
2θ/deg  intensity
28.14  49
29.20  100
29.47  28
30.81  60
31.52  45
36.14  23
42.05  25
42.29  23
43.85  23
44.41  40

Cell and atoms:
a = 7.2795 Å, b = 7.2795 Å, c = 12.5339 Å
α = 103.08°, β = 103.08°, γ = 32.55°
Atoms (fractional coordinates):
1 Pm 0.0366 0.0366 0.2825
2 Pm 0.9634 0.9634 0.7175
3 Pr 0.2518 0.2518 0.1432
4 Pr 0.3452 0.3452 0.4519
5 Pr 0.5000 0.5000 0.0000
6 Pr 0.6548 0.6548 0.5481
7 Pr 0.7482 0.7482 0.8568
8 Pd 0.0000 0.0000 0.5000
9 Pd 0.1185 0.1185 0.9202
10 Pd 0.3065 0.3065 0.6873
11 Pd 0.6935 0.6935 0.3127
12 Pd 0.8815 0.8815 0.0798


(3)
The following is a calculated XRD peak list of Pm3Pr3Pd4. It was derived from a crystal structure in Alexandria, relaxed with PBE, using CuKα.
Lines closer than 0.1° are merged.

Principal peaks in the range 15° ≤ 2θ ≤ 90°, low angle first:
2θ/deg  intensity
31.45  68
33.29  99
33.47  100
34.83  51
35.08  49
45.50  32
58.55  22
58.72  22
66.04  14
76.29  18

Cell and atoms:
a = 3.9874 Å, b = 8.1171 Å, c = 8.1171 Å
α = 89.34°, β = 90.00°, γ = 90.00°
Atoms (fractional coordinates):
1 Pm 0.0000 0.0000 0.0000
2 Pm 0.0000 0.5009 0.8345
3 Pm 0.0000 0.8345 0.5009
4 Pr 0.0000 0.3332 0.3332
5 Pr 0.5000 0.1673 0.6678
6 Pr 0.5000 0.6678 0.1673
7 Pd 0.5000 0.0378 0.2912
8 Pd 0.5000 0.2912 0.0378
9 Pd 0.5000 0.5439 0.5439
10 Pd 0.5000 0.7941 0.7941


(4)
The following is a calculated XRD peak list of PmPr3Pd2. It was derived from a crystal structure in Alexandria, relaxed with PBE, using CuKα.
Lines closer than 0.1° are merged.

Principal peaks in the range 15° ≤ 2θ ≤ 90°, low angle first:
2θ/deg  intensity
29.12  100
34.62  35
34.74  18
35.49  59
37.95  30
38.28  29
52.36  22
52.65  11
55.00  20
66.95  12

Cell and atoms:
a = 8.4366 Å, b = 8.4366 Å, c = 8.4366 Å
α = 147.64°, β = 147.35°, γ = 46.63°
Atoms (fractional coordinates):
1 Pm 0.0000 0.0000 0.0000
2 Pr 0.1870 0.6870 0.5000
3 Pr 0.5000 0.5000 0.0000
4 Pr 0.8130 0.3130 0.5000
5 Pd 0.3683 0.8683 0.5000
6 Pd 0.6317 0.1317 0.5000